1.
Diffraction record for Pr2Nd2BCl5. The powder XRD pattern is computed, not measured: it uses a structure optimized by DFT (GGA-PBE) and Cu Ka.
Lines closer than 0.1° are merged.

Peak list (10 most intense, 2θ from 10° to 80°, in order of rising 2θ)
10.1°, intensity 38; 11.2°, intensity 70; 27.0°, intensity 52; 30.7°, intensity 48; 30.8°, intensity 24; 31.3°, intensity 100; 43.9°, intensity 29; 44.9°, intensity 33; 45.3°, intensity 21; 55.7°, intensity 24

Structural model:
```
Pr2Nd2BCl5
1.0
9.0335 -2.0016 0.0000
9.0335 2.0016 0.0000
-2.0784 0.0000 7.9144
Pr Nd B Cl
2 2 1 5
Cartesian
2.5163 0.0000 0.7191
13.4724 0.0000 7.1953
8.5527 0.0000 1.7539
7.4359 0.0000 6.1605
0.0000 0.0000 0.0000
-1.0392 0.0000 3.9572
5.6612 0.0000 1.2127
4.7209 0.0000 5.1926
11.2678 0.0000 2.7217
10.3275 0.0000 6.7016
```



2.
Diffraction record for Nd2Sm2B2Cl5. The powder XRD pattern is computed, not measured: it uses a structure optimized by DFT (GGA-PBE) and Cu Ka.
Lines closer than 0.1° are merged.

Peak list (10 most intense, 2θ from 10° to 80°, in order of rising 2θ)
12.3°, intensity 60; 18.4°, intensity 49; 24.6°, intensity 31; 26.8°, intensity 58; 27.0°, intensity 36; 29.2°, intensity 70; 32.5°, intensity 100; 40.6°, intensity 63; 45.8°, intensity 25; 55.2°, intensity 23

Structural model:
```
Nd2Sm2B2Cl5
1.0
9.9663 -1.9816 0.0000
9.9663 1.9816 0.0000
-3.0741 0.0000 7.2332
Nd Sm B Cl
2 2 2 5
Cartesian
-0.6642 0.0000 1.5627
-2.4099 0.0000 5.6704
4.0001 0.0000 5.9992
12.8584 0.0000 1.2340
6.1695 0.0000 6.9253
10.6890 0.0000 0.3078
2.0846 0.0000 3.0613
0.5775 0.0000 6.6156
8.4292 0.0000 3.6166
16.2810 0.0000 0.6176
14.7739 0.0000 4.1718
```



3.
Diffraction record for Tb4BClO7. The powder XRD pattern is computed, not measured: it uses a structure optimized by DFT (GGA-PBE) and Cu Ka.
Lines closer than 0.1° are merged.

Peak list (10 most intense, 2θ from 10° to 80°, in order of rising 2θ)
12.0°, intensity 25; 24.5°, intensity 39; 25.3°, intensity 42; 29.8°, intensity 63; 30.6°, intensity 100; 33.8°, intensity 58; 45.0°, intensity 24; 47.7°, intensity 28; 51.3°, intensity 28; 54.9°, intensity 22

Structural model:
```
Tb4BClO7
1.0
8.6149 0.0000 0.0000
0.0000 8.0624 0.0000
-6.3513 0.0000 10.5771
Tb B Cl O
16 4 4 28
Cartesian
-2.0407 1.1070 4.4451
-5.2163 2.9242 9.7337
-1.9176 4.9767 4.3635
-5.0932 7.1170 9.6521
-2.3735 1.0316 8.2520
0.8022 2.9997 2.9634
-2.2196 4.9539 8.2596
0.9560 7.1398 2.9711
1.3077 0.9227 7.6061
4.4833 3.1085 2.3175
1.4615 5.0628 7.6137
4.6371 7.0309 2.3252
7.3569 0.9455 0.9250
4.1812 3.0857 6.2136
7.4800 5.1383 0.8435
4.3043 6.9554 6.1320
2.6302 1.0342 0.9115
-0.5455 2.9970 6.2001
2.8092 5.0654 4.3771
-0.3665 7.0282 9.6656
3.0749 5.1578 0.3555
-0.1008 6.9359 5.6440
2.3644 1.1266 4.9331
-0.8112 2.9047 10.2217
-3.4493 0.9917 6.3073
-0.2737 3.0395 1.0187
-3.1732 5.0186 6.2620
0.0024 7.0750 0.9734
-0.2653 0.9428 2.9688
-3.4409 3.0884 8.2573
-0.0756 5.1307 2.9208
-3.2513 6.9630 8.2093
-3.6711 0.9329 10.1145
-0.4954 3.0983 4.8260
-0.7130 1.7479 6.7500
2.4626 2.2833 1.4615
-0.5184 4.1299 6.9716
2.6573 7.9637 1.6831
-0.3936 0.0987 8.8941
2.7820 3.9325 3.6055
-0.1989 5.7791 9.1157
2.9767 6.3145 3.8271
2.7591 4.9642 5.7512
5.9347 7.1295 0.4626
5.5149 1.0995 2.3678
2.3393 2.9317 7.6564
5.7046 4.9740 2.3198
2.5289 7.1196 7.6084
2.2613 0.9874 9.6037
5.4369 3.0438 4.3152
2.5373 5.0230 9.5585
5.7130 7.0707 4.2699
```



4.
Diffraction record for TbB2ClO4. The powder XRD pattern is computed, not measured: it uses a structure optimized by DFT (GGA-PBE) and Cu Ka.
Lines closer than 0.1° are merged.

Peak list (10 most intense, 2θ from 10° to 80°, in order of rising 2θ)
14.7°, intensity 100; 22.1°, intensity 27; 22.9°, intensity 54; 24.9°, intensity 39; 25.9°, intensity 22; 26.3°, intensity 30; 30.0°, intensity 34; 34.9°, intensity 27; 35.7°, intensity 25; 43.2°, intensity 25

Structural model:
```
TbB2ClO4
1.0
4.1968 0.0000 0.0000
1.7969 6.0486 0.0000
0.2110 0.8771 7.7618
Tb B Cl O
2 4 2 8
Cartesian
0.7792 0.4872 1.7028
5.4254 6.4385 6.0590
1.5587 2.8060 6.5747
2.5604 2.8473 1.5602
3.6443 4.0784 6.2016
4.6459 4.1197 1.1870
1.0312 1.7142 4.2045
5.1735 5.2115 3.5573
1.1752 2.9588 1.4219
1.0961 1.7105 7.1997
3.2055 5.3272 6.0888
3.2756 4.0420 1.4641
2.9291 2.8837 6.2977
2.9992 1.5986 1.6730
5.1086 5.2152 0.5621
5.0294 3.9669 6.3399
```



5.
Diffraction record for Tm4BClO7. The powder XRD pattern is computed, not measured: it uses a structure optimized by DFT (GGA-PBE) and Cu Ka.
Lines closer than 0.1° are merged.

Peak list (10 most intense, 2θ from 10° to 80°, in order of rising 2θ)
12.1°, intensity 30; 25.0°, intensity 40; 25.3°, intensity 41; 30.8°, intensity 61; 31.3°, intensity 100; 31.9°, intensity 25; 34.3°, intensity 61; 48.1°, intensity 26; 53.0°, intensity 26; 56.4°, intensity 35

Structural model:
```
Tm4BClO7
1.0
8.4042 0.0000 0.0000
0.0000 7.8970 0.0000
-5.8684 0.0000 10.4582
Tm B Cl O
16 4 4 28
Cartesian
-1.8810 1.1035 4.3806
-4.8152 2.8450 9.6097
-1.7704 4.8741 4.2625
-4.7045 6.9713 9.4916
-2.0748 0.9839 8.1293
0.8594 2.9646 2.9002
-1.9003 4.8520 8.1529
1.0339 6.9935 2.9238
1.5020 0.9035 7.5343
4.4361 3.0450 2.3053
1.6765 4.9324 7.5580
4.6106 6.9131 2.3289
7.2404 0.9256 0.9666
4.3062 3.0228 6.1957
7.3510 5.0520 0.8485
4.4169 6.7934 6.0776
2.6062 1.0331 0.8999
-0.3279 2.9154 6.1290
2.8638 4.9816 4.3292
-0.0704 6.8639 9.5583
3.0240 5.1520 0.3149
0.0898 6.6934 5.5440
2.4461 1.2036 4.9142
-0.4881 2.7449 10.1433
-3.1768 0.9668 6.2431
-0.2426 2.9817 1.0140
-2.8442 4.9032 6.1996
0.0900 6.9422 0.9705
-0.1415 0.9299 2.9565
-3.0757 3.0186 8.1855
-0.0070 5.0338 2.8516
-2.9411 6.8116 8.0806
-3.3149 0.8618 9.9905
-0.3807 3.0867 4.7614
-0.4728 1.6404 6.6228
2.4613 2.3081 1.3937
-0.2235 3.9802 6.9770
2.7107 7.8652 1.7479
-0.1748 0.0317 8.7102
2.7594 3.9167 3.4812
0.0745 5.5889 9.0645
3.0087 6.2565 3.8354
2.9166 4.8103 5.6967
5.8507 7.0352 0.4676
5.4770 1.0853 2.3775
2.5428 2.8631 7.6066
5.6116 4.8784 2.2726
2.6774 6.9671 7.5017
2.4459 0.9547 9.4877
5.3801 2.9937 4.2586
2.7785 4.9153 9.4442
5.7127 6.9302 4.2151
```



6.
Diffraction record for Zn3B7ClO13. The powder XRD pattern is computed, not measured: it uses a structure optimized by DFT (GGA-PBE) and Cu Ka.
Lines closer than 0.1° are merged.

Peak list (10 most intense, 2θ from 10° to 80°, in order of rising 2θ)
20.8°, intensity 28; 25.6°, intensity 64; 29.6°, intensity 100; 33.2°, intensity 55; 36.5°, intensity 23; 42.4°, intensity 52; 44.4°, intensity 30; 50.1°, intensity 47; 52.5°, intensity 22; 54.8°, intensity 26

Structural model:
```
Zn3B7ClO13
1.0
4.2685 2.4644 6.9687
-4.2685 2.4644 6.9687
0.0000 -4.9289 6.9687
Zn B Cl O
6 14 2 26
Cartesian
-1.8484 -1.0755 6.9687
-0.0073 2.1385 6.9687
1.8556 -1.0630 6.9687
-1.8556 -1.0630 17.4217
1.8484 -1.0755 17.4217
0.0073 2.1385 17.4217
-0.0001 -3.4222 6.5391
-2.9637 1.7112 6.5391
0.0000 0.0000 2.2988
-2.1642 1.2437 8.8734
0.0050 -2.4961 8.8734
-2.1043 -1.2207 12.3577
-1.3048 -0.7532 10.0234
1.3047 -0.7534 10.0234
0.0001 1.5066 10.0234
0.0000 0.0000 12.7518
-0.0050 2.4327 12.3577
2.1093 -1.2120 12.3577
2.1592 1.2524 8.8734
2.9638 1.7110 6.5391
0.0000 0.0000 5.7393
0.0000 0.0000 16.1924
-0.6577 -2.6605 7.5834
-3.5875 1.2731 9.3331
-2.4806 -2.6346 12.2596
-1.7880 -0.1702 8.7752
-0.9989 -2.1527 9.8732
-2.2933 -0.5646 11.0678
-1.9753 1.8998 7.5834
-2.9037 -0.5230 13.3575
0.6912 -3.7434 9.3331
1.0414 -1.4633 8.7752
-1.3648 1.9414 9.8732
-0.6811 -1.1913 12.8174
0.0000 0.0000 10.3978
1.6356 -1.7037 11.0678
-0.6912 1.1855 12.8174
0.7466 1.6335 8.7752
-1.0414 3.4656 12.2596
1.9048 -2.2532 13.3575
2.6329 0.7607 7.5834
0.6577 2.2683 11.0678
2.3637 0.2112 9.8732
1.3722 0.0058 12.8175
3.5219 -0.8309 12.2596
0.9989 2.7762 13.3575
2.8963 2.4703 9.3331
0.0000 0.0000 20.8508
```



7.
Diffraction record for Zn2BClO3. The powder XRD pattern is computed, not measured: it uses a structure optimized by DFT (GGA-PBE) and Cu Ka.
Lines closer than 0.1° are merged.

Peak list (10 most intense, 2θ from 10° to 80°, in order of rising 2θ)
15.9°, intensity 100; 20.9°, intensity 93; 29.6°, intensity 21; 32.2°, intensity 18; 35.5°, intensity 55; 39.1°, intensity 15; 41.5°, intensity 24; 43.2°, intensity 27; 48.3°, intensity 26; 55.7°, intensity 18

Structural model:
```
Zn2BClO3
1.0
4.3853 -2.5321 0.0000
4.3853 2.5321 0.0000
-2.9435 0.0000 11.1236
Zn B Cl O
4 2 2 6
Cartesian
0.7161 1.2682 7.8017
3.6393 1.2682 8.8837
2.1878 -1.2682 2.2399
5.1110 -1.2682 3.3219
3.6494 1.2642 2.7809
2.1777 -1.2642 8.3427
0.7209 1.2660 5.5618
2.1926 -1.2660 0.0000
2.1777 2.4249 8.3427
2.4577 0.5754 2.7828
0.9859 -0.5754 8.3446
4.8412 0.5754 2.7790
3.3694 -0.5754 8.3408
3.6494 -2.4249 2.7809
```



8.
Diffraction record for Pr8B7Cl7. The powder XRD pattern is computed, not measured: it uses a structure optimized by DFT (GGA-PBE) and Cu Ka.
Lines closer than 0.1° are merged.

Peak list (10 most intense, 2θ from 10° to 80°, in order of rising 2θ)
27.3°, intensity 44; 27.8°, intensity 100; 28.2°, intensity 44; 31.5°, intensity 35; 31.9°, intensity 72; 32.4°, intensity 35; 34.4°, intensity 63; 35.8°, intensity 30; 46.7°, intensity 32; 51.5°, intensity 29

Structural model:
```
Pr8B7Cl7
1.0
7.7774 0.0000 0.0000
-3.8863 8.3443 0.0000
-1.9598 -1.2789 14.1901
Pr B Cl
16 14 14
Cartesian
-1.0779 0.9653 4.2716
-2.9217 5.4096 6.6085
-1.0824 4.5381 3.4994
-2.9264 4.8801 13.1038
-1.0802 2.5259 10.6968
0.9713 2.2893 1.2200
0.9675 1.7845 7.5553
-1.0795 6.0981 9.9202
3.0107 0.9673 4.2699
0.9637 5.2809 6.6348
0.9600 4.7761 12.9701
3.0115 4.5394 3.4933
4.8577 2.1853 1.0864
3.0137 2.5273 10.6907
4.8529 1.6558 7.5816
3.0091 6.1000 9.9185
-2.9232 4.0124 8.9629
-2.9246 4.3992 10.6565
-1.2923 3.3002 6.1451
-1.2928 3.7637 8.0439
0.1495 3.0516 5.3246
0.9662 2.7594 3.8204
0.1483 4.0134 8.8663
1.7829 3.0520 5.3238
0.9651 4.3059 10.3697
1.7817 4.0138 8.8655
3.2241 3.3016 6.1462
3.2235 3.7652 8.0450
4.8558 2.6661 3.5336
4.8544 3.0529 5.2272
-0.9799 -0.6395 7.0951
-2.8913 1.8741 13.2238
-4.9114 6.9070 12.7061
-2.9196 6.9808 4.0885
0.9650 0.2040 10.0604
2.8748 0.1402 1.4706
1.0236 5.2592 0.9990
2.9088 -0.6395 7.0951
0.9077 1.8061 13.1911
-0.9436 6.9251 12.7195
0.9662 6.8614 4.1297
4.8509 0.0845 10.1016
6.8427 0.1584 1.4840
4.8226 5.1912 0.9663
```